1.
This entry pairs a crystal structure of Sm2Ga3Cu with its theoretical PXRD pattern. Radiation: Cu Ka. Structure: a cell relaxed with GGA-PBE.

Cell lengths 3.7372, 4.4177, 7.6439 Å; angles 90.00, 90.00, 90.00 degrees
Space group Pmm2 (No. 25)
Asymmetric unit:
1 Sm 0.0000 0.0000 0.0000 [1 per cell]
2 Sm 0.0000 0.5000 0.4951 [1 per cell]
3 Ga 0.5000 0.0000 0.6558 [1 per cell]
4 Ga 0.5000 0.5000 0.1721 [1 per cell]
5 Ga 0.5000 0.5000 0.8333 [1 per cell]
6 Cu 0.5000 0.0000 0.3288 [1 per cell]

Peak list (10 most intense, 2θ from 10° to 90°, sorted by position)
2θ 23.3, I = 15, hkl 0 0 2; 2θ 33.5, I = 100, hkl 1 1 1; 2θ 40.9, I = 51, hkl 0 2 0; 2θ 48.7, I = 10, hkl 2 0 0; 2θ 53.9, I = 26, hkl 1 0 4; 2θ 65.4, I = 24, hkl 2 2 0; 2θ 69.8, I = 23, hkl 1 3 1; 2θ 74.4, I = 8, hkl 0 3 3; 2θ 81.2, I = 8, hkl 3 1 1; 2θ 88.6, I = 5, hkl 0 4 0

***

2.
This entry pairs a crystal structure of Hf2Nb3Ge4 with its theoretical PXRD pattern. Radiation: Cu Ka. Structure: a cell relaxed with GGA-PBE.

Cell lengths 6.8216, 13.2690, 6.9801 Å; angles 90.00, 90.00, 90.00 degrees
Space group Pnma (No. 62)
Asymmetric unit:
1 Hf 0.0127 0.0909 0.1746 [8 per cell]
2 Nb 0.1587 0.6246 0.3352 [8 per cell]
3 Nb 0.1663 0.2500 0.5048 [4 per cell]
4 Ge 0.0387 0.2500 0.8871 [4 per cell]
5 Ge 0.1841 0.0407 0.5382 [8 per cell]
6 Ge 0.1906 0.7500 0.6493 [4 per cell]

Peak list (10 most intense, 2θ from 10° to 90°, sorted by position)
2θ 35.3, I = 100, hkl 1 3 2; 2θ 35.6, I = 96, hkl 2 3 1; 2θ 37.4, I = 40, hkl 0 4 2; 2θ 40.1, I = 23, hkl 2 4 1; 2θ 40.8, I = 27, hkl 0 6 0; 2θ 41.0, I = 19, hkl 1 0 3; 2θ 41.6, I = 29, hkl 1 1 3; 2θ 41.8, I = 47, hkl 3 0 1; 2θ 59.6, I = 18, hkl 4 3 1; 2θ 63.7, I = 19, hkl 3 4 3

***

3.
This entry pairs a crystal structure of LaNi3B with its theoretical PXRD pattern. Radiation: Cu Ka. Structure: a cell relaxed with GGA-PBE.

Cell lengths 4.9530, 7.1225, 8.2747 Å; angles 90.00, 90.00, 90.00 degrees
Space group Imma (No. 74)
Asymmetric unit:
1 La 0.0000 0.2500 0.0699 [4 per cell]
2 Ni 0.0000 0.0000 0.5000 [4 per cell]
3 Ni 0.2500 0.0721 0.7500 [8 per cell]
4 B 0.0000 0.2500 0.6314 [4 per cell]

Peak list (10 most intense, 2θ from 10° to 90°, sorted by position)
2θ 30.8, I = 45, hkl 1 1 2; 2θ 32.8, I = 100, hkl 1 2 1; 2θ 34.9, I = 43, hkl 0 1 3; 2θ 39.5, I = 29, hkl 0 3 1; 2θ 40.1, I = 21, hkl 2 1 1; 2θ 42.5, I = 57, hkl 2 0 2; 2θ 44.6, I = 16, hkl 2 2 0; 2θ 49.4, I = 17, hkl 1 1 4; 2θ 64.0, I = 27, hkl 2 3 3; 2θ 85.0, I = 17, hkl 2 2 6

***

4.
This entry pairs a crystal structure of LiLaNb2O7 with its theoretical PXRD pattern. Radiation: Cu Ka. Structure: a cell relaxed with GGA-PBE.

Cell lengths 3.9194, 3.9194, 20.6493 Å; angles 90.00, 90.00, 90.00 degrees
Space group I-4m2 (No. 119)
Asymmetric unit:
1 Li 0.0000 0.0000 0.0000 [2 per cell]
2 La 0.0000 0.5000 0.7500 [2 per cell]
3 Nb 0.0000 0.5000 0.1387 [4 per cell]
4 O 0.0000 0.0000 0.1601 [4 per cell]
5 O 0.0000 0.0000 0.3388 [4 per cell]
6 O 0.0000 0.5000 0.0509 [4 per cell]
7 O 0.0000 0.5000 0.2500 [2 per cell]

Peak list (10 most intense, 2θ from 10° to 90°, sorted by position)
2θ 26.2, I = 100, hkl 1 0 3; 2θ 31.5, I = 72, hkl 1 0 5; 2θ 32.3, I = 45, hkl 1 1 0; 2θ 33.5, I = 16, hkl 1 1 2; 2θ 46.3, I = 34, hkl 2 0 0; 2θ 48.2, I = 25, hkl 1 1 8; 2θ 54.0, I = 26, hkl 2 1 3; 2θ 55.5, I = 16, hkl 1 1 10; 2θ 57.1, I = 28, hkl 2 1 5; 2θ 65.7, I = 15, hkl 2 0 10